CsU2Au2S6: theoretical powder diffraction line list (Cu Ka), based on a structure optimized by DFT (GGA-PBE).
Peak positions follow from Bragg's law for the DFT cell and can differ from measured ones.

Principal peaks in the range 15 to 90 degrees two-theta, in order of rising 2θ:
d_spacing	2θ/deg	I_rel
3.744	23.8	31
3.646	24.4	52
3.372	26.4	55
3.306	27.0	100
3.281	27.2	25
3.268	27.3	26
3.230	27.6	58
2.513	35.7	50
2.438	36.9	42
2.126	42.5	26

Structural model:
Unit cell a=7.296 b=7.474 c=7.907 alpha=92.29 beta=115.79 gamma=119.04
Fractional positions:
1 Cs 0.000 0.000 0.000
2 U 0.328 0.661 0.999
3 U 0.672 0.339 0.001
4 Au 0.013 0.296 0.552
5 Au 0.987 0.704 0.448
6 S 0.143 0.651 0.227
7 S 0.290 0.926 0.779
8 S 0.448 0.516 0.775
9 S 0.552 0.484 0.225
10 S 0.710 0.074 0.221
11 S 0.857 0.349 0.773

CsUAu2S4: theoretical powder diffraction line list (Cu Ka), based on a structure optimized by DFT (GGA-PBE).
Peak positions follow from Bragg's law for the DFT cell and can differ from measured ones.

Principal peaks in the range 15 to 90 degrees two-theta, in order of rising 2θ:
d_spacing	2θ/deg	I_rel
4.459	19.9	82
3.467	25.7	100
2.936	30.4	27
2.856	31.3	24
2.452	36.7	53
2.405	37.4	39
2.333	38.6	38
2.193	41.2	54
1.800	50.7	29
1.360	69.1	25

Structural model:
Unit cell a=5.871 b=8.918 c=9.806 alpha=90.00 beta=90.00 gamma=90.00
Fractional positions:
1 Cs 0.000 0.000 0.000
2 Cs 0.500 0.500 0.500
3 U 0.000 0.000 0.500
4 U 0.500 0.500 0.000
5 Au 0.000 0.500 0.154
6 Au 0.000 0.500 0.846
7 Au 0.500 0.000 0.346
8 Au 0.500 0.000 0.654
9 S 0.201 0.172 0.331
10 S 0.201 0.828 0.669
11 S 0.299 0.328 0.831
12 S 0.299 0.672 0.169
13 S 0.701 0.328 0.169
14 S 0.701 0.672 0.831
15 S 0.799 0.172 0.669
16 S 0.799 0.828 0.331

Cs2VAuS4: theoretical powder diffraction line list (Cu Ka), based on a structure optimized by DFT (GGA-PBE).
Peak positions follow from Bragg's law for the DFT cell and can differ from measured ones.

Principal peaks in the range 15 to 90 degrees two-theta, in order of rising 2θ:
d_spacing	2θ/deg	I_rel
5.200	17.1	46
3.635	24.5	46
3.609	24.7	33
3.595	24.8	40
3.557	25.0	100
2.943	30.4	60
2.660	33.7	45
2.346	38.4	43
2.068	43.8	30
1.965	46.2	37

Structural model:
Unit cell a=14.231 b=12.611 c=7.739 alpha=85.18 beta=62.01 gamma=32.81
Fractional positions:
1 Cs 0.051 0.051 0.699
2 Cs 0.301 0.301 0.949
3 Cs 0.699 0.699 0.051
4 Cs 0.949 0.949 0.301
5 V 0.375 0.375 0.375
6 V 0.625 0.625 0.625
7 Au 0.125 0.125 0.125
8 Au 0.875 0.875 0.875
9 S 0.023 0.622 0.544
10 S 0.312 0.544 0.622
11 S 0.378 0.977 0.688
12 S 0.456 0.688 0.977
13 S 0.544 0.312 0.023
14 S 0.622 0.023 0.312
15 S 0.688 0.456 0.378
16 S 0.977 0.378 0.456

Cs2WAuS4: theoretical powder diffraction line list (Cu Ka), based on a structure optimized by DFT (GGA-PBE).
Peak positions follow from Bragg's law for the DFT cell and can differ from measured ones.

Principal peaks in the range 15 to 90 degrees two-theta, in order of rising 2θ:
d_spacing	2θ/deg	I_rel
3.675	24.2	44
3.586	24.8	100
3.403	26.2	31
2.979	30.0	21
2.691	33.3	47
2.364	38.1	48
2.104	43.0	30
1.988	45.6	38
1.869	48.7	25
1.633	56.4	21

Structural model:
Unit cell a=14.348 b=12.657 c=7.898 alpha=85.20 beta=61.53 gamma=33.27
Fractional positions:
1 Cs 0.052 0.052 0.698
2 Cs 0.302 0.302 0.948
3 Cs 0.698 0.698 0.052
4 Cs 0.948 0.948 0.302
5 W 0.375 0.375 0.375
6 W 0.625 0.625 0.625
7 Au 0.125 0.125 0.125
8 Au 0.875 0.875 0.875
9 S 0.013 0.628 0.550
10 S 0.309 0.550 0.628
11 S 0.372 0.987 0.691
12 S 0.450 0.691 0.987
13 S 0.550 0.309 0.013
14 S 0.628 0.013 0.309
15 S 0.691 0.450 0.372
16 S 0.987 0.372 0.450

Cs3Sb2Au4: theoretical powder diffraction line list (Cu Ka), based on a structure optimized by DFT (GGA-PBE).
Peak positions follow from Bragg's law for the DFT cell and can differ from measured ones.

Principal peaks in the range 15 to 90 degrees two-theta, in order of rising 2θ:
d_spacing	2θ/deg	I_rel
3.407	26.2	68
3.322	26.8	57
3.121	28.6	100
2.885	31.0	36
2.436	36.9	23
2.316	38.9	42
2.293	39.3	26
2.282	39.5	60
1.915	47.5	27
1.836	49.7	22

Structural model:
Unit cell a=7.547 b=7.547 c=10.734 alpha=109.91 beta=109.91 gamma=35.73
Fractional positions:
1 Cs 0.000 0.000 0.000
2 Cs 0.400 0.400 0.302
3 Cs 0.600 0.600 0.698
4 Sb 0.332 0.332 0.715
5 Sb 0.668 0.668 0.285
6 Au 0.205 0.205 0.429
7 Au 0.269 0.269 0.934
8 Au 0.731 0.731 0.066
9 Au 0.795 0.795 0.571

CsSb4Au8: theoretical powder diffraction line list (Cu Ka), based on a structure optimized by DFT (GGA-PBE).
Peak positions follow from Bragg's law for the DFT cell and can differ from measured ones.

Principal peaks in the range 15 to 90 degrees two-theta, in order of rising 2θ:
d_spacing	2θ/deg	I_rel
3.271	27.3	27
3.190	28.0	29
3.109	28.7	40
3.076	29.0	30
2.981	30.0	100
2.933	30.5	75
2.520	35.6	27
2.276	39.6	86
2.219	40.7	60
1.927	47.2	44

Structural model:
Unit cell a=9.778 b=9.778 c=13.580 alpha=131.60 beta=131.60 gamma=22.73
Fractional positions:
1 Cs 0.000 0.000 0.000
2 Sb 0.087 0.087 0.378
3 Sb 0.299 0.299 0.208
4 Sb 0.701 0.701 0.792
5 Sb 0.913 0.913 0.622
6 Au 0.104 0.104 0.819
7 Au 0.303 0.303 0.410
8 Au 0.318 0.318 0.980
9 Au 0.329 0.329 0.656
10 Au 0.671 0.671 0.344
11 Au 0.682 0.682 0.020
12 Au 0.697 0.697 0.590
13 Au 0.896 0.896 0.181

Cs2Sb3Au5: theoretical powder diffraction line list (Cu Ka), based on a structure optimized by DFT (GGA-PBE).
Peak positions follow from Bragg's law for the DFT cell and can differ from measured ones.

Principal peaks in the range 15 to 90 degrees two-theta, in order of rising 2θ:
d_spacing	2θ/deg	I_rel
5.724	15.5	26
3.052	29.3	78
3.024	29.5	54
2.931	30.5	67
2.479	36.2	100
2.242	40.2	35
2.193	41.2	30
2.079	43.5	24
1.804	50.6	21
1.240	76.9	24

Structural model:
Unit cell a=9.611 b=9.611 c=9.611 alpha=106.89 beta=89.50 gamma=135.90
Fractional positions:
1 Cs 0.132 0.235 0.367
2 Cs 0.368 0.735 0.103
3 Cs 0.632 0.265 0.897
4 Cs 0.868 0.765 0.633
5 Sb 0.131 0.889 0.020
6 Sb 0.250 0.750 0.500
7 Sb 0.369 0.389 0.758
8 Sb 0.631 0.611 0.242
9 Sb 0.750 0.250 0.500
10 Sb 0.869 0.111 0.980
11 Au 0.016 0.750 0.266
12 Au 0.108 0.645 0.752
13 Au 0.250 0.250 0.000
14 Au 0.392 0.145 0.537
15 Au 0.484 0.750 0.734
16 Au 0.516 0.250 0.266
17 Au 0.608 0.855 0.463
18 Au 0.750 0.750 0.000
19 Au 0.892 0.355 0.248
20 Au 0.984 0.250 0.734

Cs3Sb4Au4: theoretical powder diffraction line list (Cu Ka), based on a structure optimized by DFT (GGA-PBE).
Peak positions follow from Bragg's law for the DFT cell and can differ from measured ones.

Principal peaks in the range 15 to 90 degrees two-theta, in order of rising 2θ:
d_spacing	2θ/deg	I_rel
3.797	23.4	100
3.546	25.1	58
3.291	27.1	26
3.160	28.2	57
2.360	38.1	43
2.233	40.4	48
2.115	42.8	49
2.004	45.2	32
1.874	48.6	33
1.848	49.3	34

Structural model:
Unit cell a=4.719 b=6.583 c=14.140 alpha=89.99 beta=80.40 gamma=90.00
Fractional positions:
1 Cs 0.000 0.000 0.000
2 Cs 0.335 0.124 0.330
3 Cs 0.665 0.876 0.670
4 Sb 0.184 0.335 0.632
5 Sb 0.451 0.468 0.099
6 Sb 0.549 0.532 0.901
7 Sb 0.816 0.665 0.368
8 Au 0.094 0.484 0.811
9 Au 0.271 0.581 0.459
10 Au 0.729 0.419 0.541
11 Au 0.906 0.516 0.189

CsSb4Au: theoretical powder diffraction line list (Cu Ka), based on a structure optimized by DFT (GGA-PBE).
Peak positions follow from Bragg's law for the DFT cell and can differ from measured ones.

Principal peaks in the range 15 to 90 degrees two-theta, in order of rising 2θ:
d_spacing	2θ/deg	I_rel
5.845	15.2	99
5.674	15.6	40
4.333	20.5	94
3.760	23.7	46
3.590	24.8	100
3.102	28.8	63
3.056	29.2	40
2.772	32.3	55
2.730	32.8	39
2.246	40.2	39

Structural model:
Unit cell a=7.379 b=8.556 c=8.855 alpha=111.85 beta=91.11 gamma=98.66
Fractional positions:
1 Cs 0.000 0.000 0.000
2 Cs 0.500 0.500 0.000
3 Sb 0.018 0.363 0.839
4 Sb 0.076 0.598 0.668
5 Sb 0.376 0.948 0.628
6 Sb 0.472 0.642 0.652
7 Sb 0.528 0.358 0.348
8 Sb 0.624 0.052 0.372
9 Sb 0.924 0.402 0.332
10 Sb 0.982 0.637 0.161
11 Au 0.300 0.839 0.290
12 Au 0.700 0.161 0.710

CsSb3Au: theoretical powder diffraction line list (Cu Ka), based on a structure optimized by DFT (GGA-PBE).
Peak positions follow from Bragg's law for the DFT cell and can differ from measured ones.

Principal peaks in the range 15 to 90 degrees two-theta, in order of rising 2θ:
d_spacing	2θ/deg	I_rel
3.808	23.4	15
3.325	26.8	100
3.265	27.3	18
2.693	33.3	70
2.479	36.2	21
2.093	43.2	55
1.904	47.8	25
1.848	49.3	35
1.408	66.4	16
1.326	71.1	23

Structural model:
Unit cell a=5.386 b=5.386 c=12.679 alpha=90.00 beta=90.00 gamma=90.00
Fractional positions:
1 Cs 0.000 0.000 0.000
2 Cs 0.500 0.500 0.500
3 Sb 0.000 0.000 0.652
4 Sb 0.000 0.500 0.261
5 Sb 0.000 0.500 0.761
6 Sb 0.500 0.000 0.261
7 Sb 0.500 0.000 0.761
8 Sb 0.500 0.500 0.152
9 Au 0.000 0.000 0.312
10 Au 0.500 0.500 0.812

CsSb2Au3: theoretical powder diffraction line list (Cu Ka), based on a structure optimized by DFT (GGA-PBE).
Peak positions follow from Bragg's law for the DFT cell and can differ from measured ones.

Principal peaks in the range 15 to 90 degrees two-theta, in order of rising 2θ:
d_spacing	2θ/deg	I_rel
4.971	17.8	72
3.495	25.5	44
3.154	28.3	100
3.043	29.3	37
2.941	30.4	46
2.356	38.2	51
2.268	39.7	77
2.147	42.1	65
2.044	44.3	61
1.292	73.3	32

Structural model:
Unit cell a=7.156 b=6.991 c=7.159 alpha=90.00 beta=99.01 gamma=90.00
Fractional positions:
1 Cs 0.187 0.250 0.309
2 Cs 0.813 0.750 0.691
3 Sb 0.328 0.000 0.825
4 Sb 0.328 0.500 0.825
5 Sb 0.672 0.000 0.175
6 Sb 0.672 0.500 0.175
7 Au 0.019 0.250 0.785
8 Au 0.288 0.750 0.516
9 Au 0.353 0.750 0.143
10 Au 0.647 0.250 0.857
11 Au 0.712 0.250 0.484
12 Au 0.981 0.750 0.215

Cs2Sb4Au5: theoretical powder diffraction line list (Cu Ka), based on a structure optimized by DFT (GGA-PBE).
Peak positions follow from Bragg's law for the DFT cell and can differ from measured ones.

Principal peaks in the range 15 to 90 degrees two-theta, in order of rising 2θ:
d_spacing	2θ/deg	I_rel
5.736	15.4	39
3.461	25.7	52
3.124	28.6	100
3.011	29.7	92
2.516	35.7	86
2.501	35.9	57
2.365	38.1	80
1.946	46.7	40
1.927	47.2	69
1.319	71.5	38

Structural model:
Unit cell a=10.014 b=8.039 c=7.758 alpha=78.67 beta=51.91 gamma=49.42
Fractional positions:
1 Cs 0.144 0.144 0.856
2 Cs 0.856 0.856 0.144
3 Sb 0.220 0.540 0.460
4 Sb 0.460 0.780 0.220
5 Sb 0.540 0.220 0.780
6 Sb 0.780 0.460 0.540
7 Au 0.000 0.000 0.500
8 Au 0.250 0.250 0.250
9 Au 0.500 0.500 0.000
10 Au 0.500 0.500 0.500
11 Au 0.750 0.750 0.750

CsTl2Sb2Au7: theoretical powder diffraction line list (Cu Ka), based on a structure optimized by DFT (GGA-PBE).
Peak positions follow from Bragg's law for the DFT cell and can differ from measured ones.

Principal peaks in the range 15 to 90 degrees two-theta, in order of rising 2θ:
d_spacing	2θ/deg	I_rel
5.848	15.1	42
3.072	29.1	67
2.921	30.6	100
2.827	31.6	63
2.694	33.3	63
2.679	33.4	52
2.396	37.5	42
2.330	38.6	75
1.945	46.7	53
1.660	55.3	45

Structural model:
Unit cell a=6.446 b=6.446 c=9.757 alpha=102.97 beta=102.97 gamma=66.60
Fractional positions:
1 Cs 0.000 0.000 0.000
2 Tl 0.127 0.127 0.418
3 Tl 0.873 0.873 0.582
4 Sb 0.290 0.290 0.785
5 Sb 0.710 0.710 0.215
6 Au 0.154 0.546 0.304
7 Au 0.415 0.415 0.584
8 Au 0.454 0.846 0.696
9 Au 0.500 0.500 0.000
10 Au 0.546 0.154 0.304
11 Au 0.585 0.585 0.416
12 Au 0.846 0.454 0.696